This entry pairs a crystal structure of Ac2Pr4Ge3O2 with its theoretical X-ray powder pattern. Radiation: copper Kα. Structure: a crystal structure in Alexandria, relaxed with PBE.
Intensities are scaled so that the largest is 1000.

Top 10 peaks for 5° ≤ 2θ ≤ 70°, low angle first:
- d 4.199, 2θ = 21.16°, intensity 336
- d 3.298, 2θ = 27.04°, intensity 866
- d 3.193, 2θ = 27.94°, intensity 317
- d 2.911, 2θ = 30.71°, intensity 290
- d 2.663, 2θ = 33.65°, intensity 1000
- d 2.414, 2θ = 37.25°, intensity 690
- d 1.925, 2θ = 47.20°, intensity 308
- d 1.707, 2θ = 53.71°, intensity 240
- d 1.516, 2θ = 61.15°, intensity 182
- d 1.437, 2θ = 64.89°, intensity 303

```
data_Ac2Pr4Ge3O2
_chemical_formula_sum 'Ac2 Pr4 Ge3 O2'
_cell_length_a 13.222
_cell_length_b 13.222
_cell_length_c 13.222
_cell_angle_alpha 158.96
_cell_angle_beta 158.96
_cell_angle_gamma 29.92
_space_group_name_H-M_alt 'P 1'
_space_group_IT_number 1
loop_
_space_group_symop_operation_xyz
'x,y,z'
loop_
_atom_site_label
_atom_site_type_symbol
_atom_site_fract_x
_atom_site_fract_y
_atom_site_fract_z
Ac1 Ac 0.196 0.196 0.000
Ac2 Ac 0.804 0.804 0.000
Pr1 Pr 0.077 0.577 0.500
Pr2 Pr 0.423 0.923 0.500
Pr3 Pr 0.577 0.077 0.500
Pr4 Pr 0.923 0.423 0.500
Ge1 Ge 0.329 0.329 0.000
Ge2 Ge 0.500 0.500 0.000
Ge3 Ge 0.671 0.671 0.000
O1 O 0.099 0.099 0.000
O2 O 0.901 0.901 0.000
```

***

This entry pairs a crystal structure of AcGeRhO6 with its theoretical X-ray powder pattern. Radiation: copper Kα. Structure: a crystal structure in Alexandria, relaxed with PBE.
Intensities are scaled so that the largest is 1000.

Top 10 peaks for 5° ≤ 2θ ≤ 70°, low angle first:
- d 4.485, 2θ = 19.79°, intensity 114
- d 3.447, 2θ = 25.84°, intensity 1000
- d 2.694, 2θ = 33.25°, intensity 89
- d 2.590, 2θ = 34.64°, intensity 298
- d 2.070, 2θ = 43.72°, intensity 226
- d 1.867, 2θ = 48.78°, intensity 346
- d 1.667, 2θ = 55.08°, intensity 116
- d 1.617, 2θ = 56.94°, intensity 225
- d 1.495, 2θ = 62.08°, intensity 94
- d 1.402, 2θ = 66.72°, intensity 79

```
data_AcGeRhO6
_chemical_formula_sum 'Ac2 Ge2 Rh2 O12'
_cell_length_a 5.179
_cell_length_b 5.179
_cell_length_c 10.777
_cell_angle_alpha 90.00
_cell_angle_beta 90.00
_cell_angle_gamma 120.00
_space_group_name_H-M_alt 'P 1'
_space_group_IT_number 1
loop_
_space_group_symop_operation_xyz
'x,y,z'
loop_
_atom_site_label
_atom_site_type_symbol
_atom_site_fract_x
_atom_site_fract_y
_atom_site_fract_z
Ac1 Ac 0.000 0.000 0.000
Ac2 Ac 0.000 0.000 0.500
Ge1 Ge 0.333 0.667 0.250
Ge2 Ge 0.667 0.333 0.750
Rh1 Rh 0.333 0.667 0.750
Rh2 Rh 0.667 0.333 0.250
O1 O 0.009 0.383 0.149
O2 O 0.009 0.626 0.351
O3 O 0.374 0.383 0.351
O4 O 0.374 0.991 0.149
O5 O 0.383 0.009 0.649
O6 O 0.383 0.374 0.851
O7 O 0.617 0.626 0.149
O8 O 0.617 0.991 0.351
O9 O 0.626 0.009 0.851
O10 O 0.626 0.617 0.649
O11 O 0.991 0.374 0.649
O12 O 0.991 0.617 0.851
```

***

This entry pairs a crystal structure of Ac2GeSbO6 with its theoretical X-ray powder pattern. Radiation: copper Kα. Structure: a crystal structure in Alexandria, relaxed with PBE.
Intensities are scaled so that the largest is 1000.

Top 10 peaks for 5° ≤ 2θ ≤ 70°, low angle first:
- d 5.090, 2θ = 17.42°, intensity 208
- d 3.168, 2θ = 28.16°, intensity 1000
- d 2.863, 2θ = 31.24°, intensity 397
- d 2.545, 2θ = 35.27°, intensity 111
- d 2.495, 2θ = 35.99°, intensity 146
- d 2.155, 2θ = 41.93°, intensity 150
- d 2.024, 2θ = 44.77°, intensity 215
- d 1.902, 2θ = 47.82°, intensity 243
- d 1.706, 2θ = 53.73°, intensity 343
- d 1.584, 2θ = 58.24°, intensity 110

```
data_Ac2GeSbO6
_chemical_formula_sum 'Ac2 Ge1 Sb1 O6'
_cell_length_a 5.726
_cell_length_b 5.726
_cell_length_c 5.090
_cell_angle_alpha 90.00
_cell_angle_beta 90.00
_cell_angle_gamma 90.00
_space_group_name_H-M_alt 'P 1'
_space_group_IT_number 1
loop_
_space_group_symop_operation_xyz
'x,y,z'
loop_
_atom_site_label
_atom_site_type_symbol
_atom_site_fract_x
_atom_site_fract_y
_atom_site_fract_z
Ac1 Ac 0.000 0.500 0.000
Ac2 Ac 0.500 0.000 0.000
Ge1 Ge 0.000 0.000 0.576
Sb1 Sb 0.500 0.500 0.590
O1 O 0.000 0.000 0.218
O2 O 0.230 0.230 0.698
O3 O 0.230 0.770 0.698
O4 O 0.500 0.500 0.010
O5 O 0.770 0.230 0.698
O6 O 0.770 0.770 0.698
```

***

This entry pairs a crystal structure of AcSn2GeO8 with its theoretical X-ray powder pattern. Radiation: copper Kα. Structure: a crystal structure in Alexandria, relaxed with PBE.
Intensities are scaled so that the largest is 1000.

Top 10 peaks for 5° ≤ 2θ ≤ 70°, low angle first:
- d 3.963, 2θ = 22.43°, intensity 275
- d 3.526, 2θ = 25.26°, intensity 616
- d 3.328, 2θ = 26.79°, intensity 518
- d 2.810, 2θ = 31.85°, intensity 1000
- d 2.420, 2θ = 37.15°, intensity 286
- d 1.865, 2θ = 48.83°, intensity 420
- d 1.804, 2θ = 50.60°, intensity 360
- d 1.532, 2θ = 60.43°, intensity 101
- d 1.462, 2θ = 63.67°, intensity 226
- d 1.405, 2θ = 66.56°, intensity 108

```
data_AcSn2GeO8
_chemical_formula_sum 'Ac1 Sn2 Ge1 O8'
_cell_length_a 4.849
_cell_length_b 4.849
_cell_length_c 6.902
_cell_angle_alpha 90.00
_cell_angle_beta 90.00
_cell_angle_gamma 93.32
_space_group_name_H-M_alt 'P 1'
_space_group_IT_number 1
loop_
_space_group_symop_operation_xyz
'x,y,z'
loop_
_atom_site_label
_atom_site_type_symbol
_atom_site_fract_x
_atom_site_fract_y
_atom_site_fract_z
Ac1 Ac 0.000 0.000 0.000
Sn1 Sn 0.500 0.500 0.275
Sn2 Sn 0.500 0.500 0.725
Ge1 Ge 0.000 0.000 0.500
O1 O 0.194 0.194 0.298
O2 O 0.194 0.194 0.702
O3 O 0.291 0.709 0.500
O4 O 0.338 0.662 0.000
O5 O 0.662 0.338 0.000
O6 O 0.709 0.291 0.500
O7 O 0.806 0.806 0.298
O8 O 0.806 0.806 0.702
```

***

This entry pairs a crystal structure of Ac8Ge3Te4O with its theoretical X-ray powder pattern. Radiation: copper Kα. Structure: a crystal structure in Alexandria, relaxed with PBE.
Intensities are scaled so that the largest is 1000.

Top 10 peaks for 5° ≤ 2θ ≤ 70°, low angle first:
- d 3.873, 2θ = 22.97°, intensity 100
- d 3.724, 2θ = 23.89°, intensity 230
- d 3.256, 2θ = 27.40°, intensity 1000
- d 3.001, 2θ = 29.77°, intensity 92
- d 2.335, 2θ = 38.55°, intensity 349
- d 2.270, 2θ = 39.70°, intensity 393
- d 1.862, 2θ = 48.92°, intensity 235
- d 1.627, 2θ = 56.56°, intensity 172
- d 1.473, 2θ = 63.12°, intensity 159
- d 1.440, 2θ = 64.75°, intensity 189

```
data_Ac8Ge3Te4O
_chemical_formula_sum 'Ac8 Ge3 Te4 O1'
_cell_length_a 9.082
_cell_length_b 9.082
_cell_length_c 9.349
_cell_angle_alpha 119.06
_cell_angle_beta 119.06
_cell_angle_gamma 59.97
_space_group_name_H-M_alt 'P 1'
_space_group_IT_number 1
loop_
_space_group_symop_operation_xyz
'x,y,z'
loop_
_atom_site_label
_atom_site_type_symbol
_atom_site_fract_x
_atom_site_fract_y
_atom_site_fract_z
Ac1 Ac 0.233 0.749 0.715
Ac2 Ac 0.235 0.235 0.717
Ac3 Ac 0.251 0.767 0.285
Ac4 Ac 0.258 0.258 0.273
Ac5 Ac 0.742 0.742 0.727
Ac6 Ac 0.749 0.233 0.715
Ac7 Ac 0.765 0.765 0.283
Ac8 Ac 0.767 0.251 0.285
Ge1 Ge 0.000 0.500 0.500
Ge2 Ge 0.500 0.000 0.500
Ge3 Ge 0.500 0.500 0.500
Te1 Te 0.000 0.000 0.000
Te2 Te 0.000 0.500 0.000
Te3 Te 0.500 0.000 0.000
Te4 Te 0.500 0.500 0.000
O1 O 0.000 0.000 0.500
```

***

This entry pairs a crystal structure of Ac4TlGeO with its theoretical X-ray powder pattern. Radiation: copper Kα. Structure: a crystal structure in Alexandria, relaxed with PBE.
Intensities are scaled so that the largest is 1000.

Top 10 peaks for 5° ≤ 2θ ≤ 70°, low angle first:
- d 3.322, 2θ = 26.84°, intensity 863
- d 3.291, 2θ = 27.10°, intensity 843
- d 3.010, 2θ = 29.68°, intensity 470
- d 2.933, 2θ = 30.48°, intensity 534
- d 2.801, 2θ = 31.95°, intensity 537
- d 2.783, 2θ = 32.17°, intensity 528
- d 2.512, 2θ = 35.74°, intensity 1000
- d 1.929, 2θ = 47.12°, intensity 570
- d 1.902, 2θ = 47.82°, intensity 279
- d 1.560, 2θ = 59.22°, intensity 353

```
data_Ac4TlGeO
_chemical_formula_sum 'Ac8 Tl2 Ge2 O2'
_cell_length_a 9.697
_cell_length_b 9.697
_cell_length_c 7.144
_cell_angle_alpha 90.00
_cell_angle_beta 90.00
_cell_angle_gamma 137.26
_space_group_name_H-M_alt 'P 1'
_space_group_IT_number 1
loop_
_space_group_symop_operation_xyz
'x,y,z'
loop_
_atom_site_label
_atom_site_type_symbol
_atom_site_fract_x
_atom_site_fract_y
_atom_site_fract_z
Ac1 Ac 0.000 0.500 0.000
Ac2 Ac 0.000 0.500 0.500
Ac3 Ac 0.059 0.941 0.750
Ac4 Ac 0.425 0.575 0.750
Ac5 Ac 0.500 0.000 0.000
Ac6 Ac 0.500 0.000 0.500
Ac7 Ac 0.575 0.425 0.250
Ac8 Ac 0.941 0.059 0.250
Tl1 Tl 0.388 0.612 0.250
Tl2 Tl 0.612 0.388 0.750
Ge1 Ge 0.119 0.881 0.250
Ge2 Ge 0.881 0.119 0.750
O1 O 0.288 0.712 0.750
O2 O 0.712 0.288 0.250
```

***

This entry pairs a crystal structure of AcZr2GeO8 with its theoretical X-ray powder pattern. Radiation: copper Kα. Structure: a crystal structure in Alexandria, relaxed with PBE.
Intensities are scaled so that the largest is 1000.

Top 10 peaks for 5° ≤ 2θ ≤ 70°, low angle first:
- d 3.995, 2θ = 22.25°, intensity 296
- d 3.545, 2θ = 25.12°, intensity 630
- d 3.391, 2θ = 26.28°, intensity 545
- d 2.821, 2θ = 31.72°, intensity 1000
- d 2.450, 2θ = 36.68°, intensity 275
- d 1.874, 2θ = 48.59°, intensity 429
- d 1.827, 2θ = 49.92°, intensity 366
- d 1.538, 2θ = 60.19°, intensity 108
- d 1.476, 2θ = 62.96°, intensity 231
- d 1.411, 2θ = 66.26°, intensity 111

```
data_AcZr2GeO8
_chemical_formula_sum 'Ac1 Zr2 Ge1 O8'
_cell_length_a 4.905
_cell_length_b 4.905
_cell_length_c 6.900
_cell_angle_alpha 90.00
_cell_angle_beta 90.00
_cell_angle_gamma 92.54
_space_group_name_H-M_alt 'P 1'
_space_group_IT_number 1
loop_
_space_group_symop_operation_xyz
'x,y,z'
loop_
_atom_site_label
_atom_site_type_symbol
_atom_site_fract_x
_atom_site_fract_y
_atom_site_fract_z
Ac1 Ac 0.000 0.000 0.000
Zr1 Zr 0.500 0.500 0.271
Zr2 Zr 0.500 0.500 0.729
Ge1 Ge 0.000 0.000 0.500
O1 O 0.195 0.195 0.304
O2 O 0.195 0.195 0.696
O3 O 0.294 0.706 0.500
O4 O 0.336 0.664 0.000
O5 O 0.664 0.336 0.000
O6 O 0.706 0.294 0.500
O7 O 0.805 0.805 0.304
O8 O 0.805 0.805 0.696
```

***

This entry pairs a crystal structure of Ac2GePPt6 with its theoretical X-ray powder pattern. Radiation: copper Kα. Structure: a crystal structure in Alexandria, relaxed with PBE.
Intensities are scaled so that the largest is 1000.

Top 10 peaks for 5° ≤ 2θ ≤ 70°, low angle first:
- d 3.368, 2θ = 26.46°, intensity 160
- d 2.795, 2θ = 32.02°, intensity 1000
- d 2.607, 2θ = 34.40°, intensity 285
- d 2.573, 2θ = 34.87°, intensity 887
- d 2.244, 2θ = 40.18°, intensity 287
- d 2.206, 2θ = 40.91°, intensity 773
- d 1.684, 2θ = 54.49°, intensity 278
- d 1.655, 2θ = 55.51°, intensity 122
- d 1.479, 2θ = 62.82°, intensity 120
- d 1.392, 2θ = 67.25°, intensity 176

```
data_Ac2GePPt6
_chemical_formula_sum 'Ac2 Ge1 P1 Pt6'
_cell_length_a 6.848
_cell_length_b 6.848
_cell_length_c 6.848
_cell_angle_alpha 128.81
_cell_angle_beta 122.18
_cell_angle_gamma 80.83
_space_group_name_H-M_alt 'P 1'
_space_group_IT_number 1
loop_
_space_group_symop_operation_xyz
'x,y,z'
loop_
_atom_site_label
_atom_site_type_symbol
_atom_site_fract_x
_atom_site_fract_y
_atom_site_fract_z
Ac1 Ac 0.000 0.000 0.000
Ac2 Ac 0.466 0.466 0.000
Ge1 Ge 0.309 0.809 0.500
P1 P 0.841 0.341 0.500
Pt1 Pt 0.062 0.562 0.500
Pt2 Pt 0.512 0.483 0.542
Pt3 Pt 0.512 0.969 0.028
Pt4 Pt 0.540 0.040 0.500
Pt5 Pt 0.941 0.483 0.972
Pt6 Pt 0.941 0.969 0.458
```